For Er2Fe17, a cell relaxed with GGA-PBE gives the calculated powder XRD pattern in this record (Cu Kα (weighted mean of Kα1 and Kα2)).

Main lines, in order of rising 2θ (2θ from 5° to 70°):
- 2θ = 30.31°, I = 41
- 2θ = 36.59°, I = 43
- 2θ = 41.18°, I = 31
- 2θ = 42.50°, I = 59
- 2θ = 42.95°, I = 100
- 2θ = 44.28°, I = 29
- 2θ = 46.61°, I = 15
- 2θ = 48.22°, I = 15
- 2θ = 62.02°, I = 16
- 2θ = 63.05°, I = 17

Cell and atoms:
```
38
Lattice="8.5084 0.0000 0.0000 -4.2542 7.3685 0.0000 0.0000 0.0000 8.1816" Properties=species:S:1:pos:R:3 pbc="T T T"
Er 0.0000 0.0000 2.0454
Er 0.0000 0.0000 6.1362
Er 0.0000 4.9123 2.0454
Er 4.2542 2.4562 6.1362
Fe -2.1271 3.6842 0.0000
Fe -2.1271 3.6842 4.0908
Fe -1.2381 2.7093 6.1362
Fe -2.5270 4.9416 6.1362
Fe 0.0000 2.4451 0.1369
Fe 0.0000 2.4451 3.9539
Fe -2.1367 6.1459 0.1369
Fe -2.1367 6.1459 3.9539
Fe 1.2381 2.7093 6.1362
Fe -1.2888 7.0861 6.1362
Fe 2.1175 1.2226 4.2277
Fe 2.1175 1.2226 8.0447
Fe 0.0000 4.9123 4.9503
Fe 0.0000 4.9123 7.3222
Fe 2.9654 0.2824 2.0454
Fe 1.7272 2.4269 2.0454
Fe 4.2542 0.0000 0.0000
Fe 4.2542 0.0000 4.0908
Fe 2.1271 3.6842 0.0000
Fe 2.1271 3.6842 4.0908
Fe 2.5270 4.9416 6.1362
Fe 1.2888 7.0861 6.1362
Fe 4.2542 2.4562 0.8595
Fe 4.2542 2.4562 3.2314
Fe 2.1367 6.1459 0.1369
Fe 2.1367 6.1459 3.9539
Fe 5.5430 0.2824 2.0454
Fe 3.0160 4.6592 2.0454
Fe 6.3909 1.2226 4.2277
Fe 6.3909 1.2226 8.0447
Fe 4.2542 4.9234 4.2277
Fe 4.2542 4.9234 8.0447
Fe 6.7812 2.4269 2.0454
Fe 5.4923 4.6592 2.0454
```